1.
Simulated X-ray diffraction stick pattern of Mn3NiPd6 for Cu Kα, 1.54184 Å, from a structure optimized by DFT (PBE).
Neutral-atom scattering factors, no anomalous dispersion.

The 8 most intense peaks (2θ from 10° to 80°), by intensity:
| 2theta | intensity | h k l |
| --- | --- | --- |
| 42.5 | 100 | 3 1 -2 |
| 40.2 | 36 | 0 2 0 |
| 43.4 | 32 | 2 1 2 |
| 74.6 | 18 | 3 3 -2 |
| 38.3 | 17 | 2 0 2 |
| 37.2 | 15 | 1 0 -4 |
| 56.7 | 11 | 2 2 2 |
| 55.9 | 9 | 1 2 -4 |

Crystal structure
a b c (Å): 7.3406 4.4893 9.6506
angles (deg): 90.00 111.00 90.00
Space group P2_1/m (No. 11)
One atom of each set of equivalent atoms:
Mn1 0.0864 0.2500 0.2312 x2
Mn2 0.2999 0.2500 0.0220 x2
Mn3 0.3194 0.7500 0.3805 x2
Ni1 0.1024 0.7500 0.5680 x2
Pd1 0.0790 0.2500 0.7166 x2
Pd2 0.1065 0.7500 0.0754 x2
Pd3 0.2791 0.2500 0.5255 x2
Pd4 0.2937 0.7500 0.8610 x2
Pd5 0.4887 0.2500 0.3277 x2
Pd6 0.4958 0.2500 0.8326 x2



2.
Simulated X-ray diffraction stick pattern of Mn2NiPd9 for Cu Kα, 1.54184 Å, from a structure optimized by DFT (PBE).
Neutral-atom scattering factors, no anomalous dispersion.

The 8 most intense peaks (2θ from 10° to 80°), by intensity:
| 2theta | intensity | h k l |
| --- | --- | --- |
| 39.9 | 100 | 1 1 3 |
| 46.5 | 32 | 2 0 0 |
| 67.8 | 20 | 2 0 6 |
| 46.4 | 16 | 0 0 6 |
| 67.9 | 10 | 2 2 0 |
| 22.7 | 5 | 1 0 0 |
| 32.4 | 4 | 1 1 0 |
| 57.8 | 2 | 2 1 3 |

Crystal structure
a b c (Å): 3.9054 3.9054 11.7488
angles (deg): 90.00 90.00 90.00
Space group P4/mmm (No. 123)
One atom of each set of equivalent atoms:
Mn1 0.0000 0.0000 0.1680 x2
Ni1 0.0000 0.0000 0.5000 x1
Pd1 0.0000 0.5000 0.0000 x2
Pd2 0.0000 0.5000 0.3367 x4
Pd3 0.5000 0.5000 0.1685 x2
Pd4 0.5000 0.5000 0.5000 x1



3.
Simulated X-ray diffraction stick pattern of ZrMnNiPd for Cu Kα, 1.54184 Å, from a structure optimized by DFT (PBE).
Neutral-atom scattering factors, no anomalous dispersion.

The 8 most intense peaks (2θ from 10° to 80°), by intensity:
| 2theta | intensity | h k l |
| --- | --- | --- |
| 40.2 | 100 | 2 2 0 |
| 73.0 | 32 | 4 2 2 |
| 58.1 | 16 | 4 0 0 |
| 24.3 | 8 | 1 1 1 |
| 47.5 | 4 | 3 1 1 |
| 63.9 | 2 | 3 3 1 |
| 78.2 | 1 | 5 1 1 |
| 28.1 | 1 | 2 0 0 |

Crystal structure
a b c (Å): 6.3484 6.3484 6.3484
angles (deg): 90.00 90.00 90.00
Space group F-43m (No. 216)
One atom of each set of equivalent atoms:
Zr1 0.0000 0.0000 0.0000 x4
Mn1 0.0000 0.0000 0.5000 x4
Ni1 0.2500 0.2500 0.7500 x4
Pd1 0.2500 0.2500 0.2500 x4



4.
Simulated X-ray diffraction stick pattern of Pr3MnNi8 for Cu Kα, 1.54184 Å, from a structure optimized by DFT (PBE).
Neutral-atom scattering factors, no anomalous dispersion.

The 8 most intense peaks (2θ from 10° to 80°), by intensity:
| 2theta | intensity | h k l |
| --- | --- | --- |
| 41.6 | 100 | 2 0 2 |
| 35.3 | 35 | 1 1 0 |
| 41.4 | 34 | 1 0 10 |
| 35.1 | 32 | 0 1 8 |
| 43.6 | 24 | 0 2 4 |
| 74.7 | 16 | 2 2 0 |
| 67.5 | 15 | 2 1 10 |
| 67.6 | 14 | 3 0 6 |

Crystal structure
a b c (Å): 5.0847 5.0847 25.0795
angles (deg): 90.00 90.00 120.00
Space group R3m (No. 160, hexagonal axes)
One atom of each set of equivalent atoms:
Pr1 0.0000 0.0000 0.0000 x3
Pr2 0.0000 0.0000 0.1282 x3
Pr3 0.0000 0.0000 0.6140 x3
Mn1 0.0000 0.0000 0.4913 x3
Ni1 0.0000 0.0000 0.3104 x3
Ni2 0.0000 0.0000 0.8113 x3
Ni3 0.0021 0.5011 0.5580 x9
Ni4 0.0044 0.5022 0.0632 x9



5.
Simulated X-ray diffraction stick pattern of Pr2Mn2Ni15 for Cu Kα, 1.54184 Å, from a structure optimized by DFT (PBE).
Neutral-atom scattering factors, no anomalous dispersion.

The 8 most intense peaks (2θ from 10° to 80°), by intensity:
| 2theta | intensity | h k l |
| --- | --- | --- |
| 43.3 | 100 | 3 0 3 |
| 43.0 | 62 | 2 2 0 |
| 44.1 | 53 | 0 0 6 |
| 37.0 | 37 | 3 0 0 |
| 48.6 | 31 | 2 2 3 |
| 30.4 | 30 | 1 1 3 |
| 38.3 | 30 | 0 2 4 |
| 63.3 | 28 | 2 2 6 |

Crystal structure
a b c (Å): 8.4157 8.4157 12.3167
angles (deg): 90.00 90.00 120.00
Space group R-3m (No. 166, hexagonal axes)
One atom of each set of equivalent atoms:
Pr1 0.0000 0.0000 0.1540 x6
Mn1 0.0000 0.0000 0.3988 x6
Ni1 0.0000 0.2909 0.5000 x18
Ni2 0.0000 0.5000 0.0000 x9
Ni3 0.0040 0.5020 0.3438 x18



6.
Simulated X-ray diffraction stick pattern of Pr2MnNi3Pt12 for Cu Kα, 1.54184 Å, from a structure optimized by DFT (PBE).
Neutral-atom scattering factors, no anomalous dispersion.

The 8 most intense peaks (2θ from 10° to 80°), by intensity:
| 2theta | intensity | h k l |
| --- | --- | --- |
| 33.7 | 100 | 0 2 4 |
| 41.5 | 60 | 1 2 2 |
| 51.6 | 32 | 3 0 6 |
| 54.5 | 29 | 2 2 0 |
| 41.7 | 28 | 2 0 8 |
| 38.1 | 22 | 1 0 10 |
| 31.7 | 21 | 0 1 8 |
| 28.5 | 21 | 1 1 3 |

Crystal structure
a b c (Å): 6.7360 6.7360 25.8170
angles (deg): 90.00 90.00 120.00
Space group R-3m (No. 166, hexagonal axes)
One atom of each set of equivalent atoms:
Pr1 0.0000 0.0000 0.1569 x6
Mn1 0.0000 0.0000 0.5000 x3
Ni1 0.0000 0.5000 0.0000 x9
Pt1 0.0524 0.5262 0.0970 x18
Pt2 0.0651 0.5326 0.6197 x18



7.
Simulated X-ray diffraction stick pattern of Mn3Ni2Pt3 for Cu Kα, 1.54184 Å, from a structure optimized by DFT (PBE).
Neutral-atom scattering factors, no anomalous dispersion.

The 8 most intense peaks (2θ from 10° to 80°), by intensity:
| 2theta | intensity | h k l |
| --- | --- | --- |
| 41.0 | 100 | 1 1 4 |
| 25.0 | 25 | 1 0 1 |
| 28.6 | 19 | 0 1 3 |
| 46.3 | 18 | 0 2 0 |
| 46.8 | 16 | 0 0 8 |
| 49.9 | 14 | 2 0 0 |
| 68.0 | 10 | 0 2 8 |
| 70.4 | 10 | 2 2 0 |

Crystal structure
a b c (Å): 3.6556 3.9201 15.5348
angles (deg): 90.00 90.00 90.00
Space group Immm (No. 71)
One atom of each set of equivalent atoms:
Mn1 0.0000 0.0000 0.0000 x2
Mn2 0.0000 0.5000 0.1368 x4
Ni1 0.0000 0.0000 0.2523 x4
Pt1 0.0000 0.0000 0.5000 x2
Pt2 0.0000 0.5000 0.3687 x4



8.
Simulated X-ray diffraction stick pattern of Mn6NiPt for Cu Kα, 1.54184 Å, from a structure optimized by DFT (PBE).
Neutral-atom scattering factors, no anomalous dispersion.

The 8 most intense peaks (2θ from 10° to 80°), by intensity:
| 2theta | intensity | h k l |
| --- | --- | --- |
| 42.7 | 100 | 1 1 2 |
| 49.7 | 32 | 2 0 0 |
| 24.3 | 20 | 0 0 2 |
| 73.0 | 18 | 2 0 4 |
| 12.1 | 18 | 0 0 1 |
| 34.6 | 16 | 1 1 0 |
| 49.8 | 15 | 0 0 4 |
| 27.2 | 15 | 1 0 1 |

Crystal structure
a b c (Å): 3.6710 3.6710 7.3208
angles (deg): 90.00 90.00 90.00
Space group P4/mmm (No. 123)
One atom of each set of equivalent atoms:
Mn1 0.0000 0.0000 0.0000 x1
Mn2 0.0000 0.0000 0.5000 x1
Mn3 0.0000 0.5000 0.2398 x4
Ni1 0.5000 0.5000 0.0000 x1
Pt1 0.5000 0.5000 0.5000 x1